(1)
This entry pairs a crystal structure of BeN2F4 with its calculated powder diffraction line list. Radiation: Cu Kα X-rays. Structure: a structure optimized by DFT (PBE).
Intensities are scaled so that the largest is 100.

Structure:
abc: 7.6621 6.7876 11.7253
angles: 90.00 90.00 90.00
Element x y z (fractional)
Be 0.1926 0.2500 0.0977
Be 0.3074 0.7500 0.5977
Be 0.6926 0.2500 0.4023
Be 0.8074 0.7500 0.9023
N 0.0199 0.7500 0.3594
N 0.2261 0.7500 0.8724
N 0.2739 0.2500 0.3724
N 0.4801 0.2500 0.8594
N 0.5199 0.7500 0.1406
N 0.7261 0.7500 0.6276
N 0.7739 0.2500 0.1276
N 0.9801 0.2500 0.6406
F 0.0992 0.2500 0.3756
F 0.1846 0.7500 0.4018
F 0.1906 0.0460 0.1074
F 0.1906 0.4540 0.1074
F 0.3094 0.5460 0.6074
F 0.3094 0.9540 0.6074
F 0.3154 0.2500 0.9018
F 0.4008 0.7500 0.8756
F 0.5992 0.2500 0.1244
F 0.6846 0.7500 0.0982
F 0.6906 0.0460 0.3926
F 0.6906 0.4540 0.3926
F 0.8094 0.5460 0.8926
F 0.8094 0.9540 0.8926
F 0.8154 0.2500 0.5982
F 0.9008 0.7500 0.6244

Most intense lines, 2θ from 10° to 80°, in order of rising 2θ:
2θ (°)	intensity
13.81	11
15.09	16
23.20	26
24.44	30
26.27	16
27.81	9
29.78	23
30.50	52
32.67	100
55.59	9

---

(2)
This entry pairs a crystal structure of K2CuSb with its calculated powder diffraction line list. Radiation: Cu Kα X-rays. Structure: a structure optimized by DFT (PBE).
Intensities are scaled so that the largest is 100.

Structure:
abc: 6.6315 6.6315 6.2584
angles: 90.00 90.00 73.80
Element x y z (fractional)
K 0.0148 0.3242 0.2500
K 0.3242 0.0148 0.7500
K 0.6758 0.9852 0.2500
K 0.9852 0.6758 0.7500
Cu 0.5000 0.5000 0.0000
Cu 0.5000 0.5000 0.5000
Sb 0.2506 0.7494 0.2500
Sb 0.7494 0.2506 0.7500

Most intense lines, 2θ from 10° to 80°, in order of rising 2θ:
2θ (°)	intensity
16.72	67
19.89	65
27.61	26
31.15	100
31.86	22
36.52	44
37.78	28
40.41	42
50.61	22
52.19	22

---

(3)
This entry pairs a crystal structure of LuNi3 with its calculated powder diffraction line list. Radiation: Cu Kα X-rays. Structure: a structure optimized by DFT (PBE).
Intensities are scaled so that the largest is 100.

Structure:
abc: 3.7901 3.7901 3.7901
angles: 90.00 90.00 90.00
Element x y z (fractional)
Lu 0.0000 0.0000 0.0000
Ni 0.0000 0.5000 0.5000
Ni 0.5000 0.0000 0.5000
Ni 0.5000 0.5000 0.0000

Most intense lines, 2θ from 10° to 80°, in order of rising 2θ:
2θ (°)	intensity
23.47	27
33.43	23
41.26	100
48.01	48
54.11	12
59.77	9
70.24	29
75.21	6